Entry 1:
For Zn3SbN3, a cell relaxed with PBE gives the theoretical X-ray powder pattern in this record (Cu Kα).
Intensities are scaled so that the largest is 100.

Most intense lines, 10 to 80 degrees two-theta, in order of falling intensity:
| 2theta | I/Imax | index |
| --- | --- | --- |
| 33.2 | 100 | 0 2 1 |
| 37.7 | 52 | 2 2 -1 |
| 33.0 | 49 | 2 0 -2 |
| 31.9 | 49 | 2 0 0 |
| 21.1 | 23 | 1 1 -1 |
| 56.0 | 22 | 2 2 -3 |

Cell and atoms:
```
data_Zn3SbN3
_cell_length_a 6.877
_cell_length_b 6.640
_cell_length_c 5.666
_cell_angle_alpha 90.00
_cell_angle_beta 125.34
_cell_angle_gamma 90.00
_space_group_name_H-M_alt 'C 1 m 1'
_space_group_IT_number 8
loop_
_space_group_symop_operation_xyz
'x,y,z'
'x,-y,z'
'x+1/2,y+1/2,z'
'x+1/2,-y+1/2,z'
loop_
_atom_site_label
_atom_site_fract_x
_atom_site_fract_y
_atom_site_fract_z
Zn1 0.000 0.000 0.000
Zn2 0.393 0.281 0.401
Sb1 0.417 0.000 0.887
N1 0.034 0.265 0.183
N2 0.055 0.000 0.695
```

Entry 2:
For Sc3Si6N11, a cell relaxed with PBE gives the theoretical X-ray powder pattern in this record (Cu Kα).
Intensities are scaled so that the largest is 100.

Most intense lines, 10 to 80 degrees two-theta, in order of falling intensity:
| 2theta | I/Imax | index |
| --- | --- | --- |
| 38.0 | 100 | 4 1 0 |
| 34.4 | 93 | 3 1 1 |
| 31.8 | 86 | 2 2 1 |
| 18.3 | 36 | 0 0 1 |
| 54.1 | 36 | 4 1 2 |
| 37.0 | 33 | 0 0 2 |

Cell and atoms:
```
data_Sc3Si6N11
_cell_length_a 9.773
_cell_length_b 9.773
_cell_length_c 4.853
_cell_angle_alpha 90.00
_cell_angle_beta 90.00
_cell_angle_gamma 90.00
_space_group_name_H-M_alt 'P 4 b m'
_space_group_IT_number 100
loop_
_space_group_symop_operation_xyz
'x,y,z'
'-y,x,z'
'-x,-y,z'
'y,-x,z'
'-x+1/2,y+1/2,z'
'y+1/2,x+1/2,z'
'x+1/2,-y+1/2,z'
'-y+1/2,-x+1/2,z'
loop_
_atom_site_label
_atom_site_fract_x
_atom_site_fract_y
_atom_site_fract_z
Sc1 0.000 0.000 0.000
Sc2 0.189 0.311 0.995
Si1 0.082 0.794 0.571
Si2 0.120 0.620 0.087
N1 0.000 0.500 0.118
N2 0.078 0.182 0.708
N3 0.086 0.784 0.216
N4 0.154 0.654 0.738
```